1.
Calculated XRD peak list
Compound: CaCu2Ge2
Radiation: Cu Kα X-rays
Structure: DFT lattice parameters and positions (GGA-PBE)
Peak positions follow from Bragg's law for the DFT cell and can differ from measured ones.

Top 10 peaks for 5° ≤ 2θ ≤ 70°, in order of falling intensity:
two_theta, I/Imax
35.23, 100
43.64, 84
47.01, 76
33.93, 64
23.12, 36
17.25, 33
56.40, 28
49.47, 27
63.43, 26
68.07, 20

Crystal structure
```
CaCu2Ge2
1.0
4.148 0.000 0.000
0.000 4.148 0.000
0.000 0.000 10.282
Ca Cu Ge
2 4 4
Cartesian
0.000 0.000 0.000 Ca
2.074 2.074 5.141 Ca
0.000 2.074 2.570 Cu
0.000 2.074 7.711 Cu
2.074 0.000 2.570 Cu
2.074 0.000 7.711 Cu
0.000 0.000 3.890 Ge
0.000 0.000 6.391 Ge
2.074 2.074 1.251 Ge
2.074 2.074 9.031 Ge
```

2.
Calculated XRD peak list
Compound: CaCu2Ge4O12
Radiation: Cu Kα X-rays
Structure: DFT lattice parameters and positions (GGA-PBE)
Peak positions follow from Bragg's law for the DFT cell and can differ from measured ones.

Top 10 peaks for 5° ≤ 2θ ≤ 70°, in order of falling intensity:
two_theta, I/Imax
19.88, 100
29.10, 85
34.22, 77
28.81, 68
34.52, 63
60.87, 34
13.19, 33
39.79, 28
54.24, 26
19.40, 24

Crystal structure
```
CaCu2Ge4O12
1.0
5.290 0.000 0.000
0.000 9.150 0.000
-2.582 0.000 9.879
Ca Cu Ge O
2 4 8 24
Cartesian
0.489 0.000 2.854 Ca
2.219 4.575 7.025 Ca
0.731 5.488 2.303 Cu
-0.614 2.641 7.606 Cu
3.322 7.216 2.273 Cu
1.977 0.913 7.576 Cu
0.451 2.762 0.534 Ge
-0.438 5.452 5.031 Ge
0.498 2.716 4.806 Ge
-0.381 5.505 9.359 Ge
3.089 0.930 0.519 Ge
2.210 7.291 5.073 Ge
3.147 0.877 4.848 Ge
2.257 7.337 9.345 Ge
-1.723 1.292 6.610 O
-2.178 2.908 8.617 O
-0.180 4.159 1.370 O
-2.047 5.912 8.820 O
-0.695 1.669 4.031 O
-0.980 3.847 5.735 O
1.003 4.345 4.270 O
2.068 2.282 1.040 O
0.829 6.376 5.909 O
0.274 4.134 8.444 O
1.708 6.959 3.283 O
2.252 5.433 1.252 O
0.456 0.858 8.627 O
1.000 2.384 6.596 O
2.434 8.709 1.435 O
1.880 1.801 3.970 O
0.641 6.857 8.839 O
1.706 8.920 5.609 O
3.688 8.422 4.144 O
3.403 6.244 5.848 O
4.755 1.337 1.059 O
2.888 8.734 8.508 O
4.886 7.483 1.262 O
4.431 5.867 3.269 O
```

3.
Calculated XRD peak list
Compound: CaCu3Ge4O12
Radiation: Cu Kα X-rays
Structure: DFT lattice parameters and positions (GGA-PBE)
Peak positions follow from Bragg's law for the DFT cell and can differ from measured ones.

Top 10 peaks for 5° ≤ 2θ ≤ 70°, in order of falling intensity:
two_theta, I/Imax
34.64, 100
62.08, 47
49.80, 28
38.88, 4
24.30, 4
29.88, 2
46.38, 2
56.16, 2
17.12, 2
53.04, 1

Crystal structure
```
CaCu3Ge4O12
1.0
-3.662 3.662 3.662
3.662 -3.662 3.662
3.662 3.662 -3.662
Ca Cu Ge O
1 3 4 12
Cartesian
0.000 0.000 0.000 Ca
3.662 0.000 0.000 Cu
0.000 3.662 0.000 Cu
0.000 0.000 3.662 Cu
1.831 1.831 -1.831 Ge
1.831 -1.831 1.831 Ge
-1.831 1.831 1.831 Ge
1.831 1.831 1.831 Ge
3.662 -1.460 2.322 O
2.202 1.341 0.000 O
5.122 1.341 0.000 O
2.322 3.662 -1.460 O
1.341 0.000 2.202 O
0.000 2.202 1.341 O
3.662 1.460 2.322 O
2.322 3.662 1.460 O
1.341 0.000 5.122 O
-1.460 2.322 3.662 O
1.460 2.322 3.662 O
0.000 5.122 1.341 O
```